# NaCrCdO4
Calculated powder X-ray diffraction pattern, Cu Kα (λ = 1.5418 Å). Input: a cell relaxed with PBE+U.

Main lines, most intense first (2θ = 10–80°):
d 3.028, 29.50°, I 100, (1 1 1)
d 3.014, 29.64°, I 77, (0 2 0)
d 4.751, 18.68°, I 74, (1 0 -1)
d 3.731, 23.85°, I 61, (1 1 -1)
d 2.209, 40.84°, I 49, (2 1 -2)
d 2.704, 33.14°, I 43, (1 1 -2)

Crystal structure
```
data_NaCrCdO4
_chemical_formula_sum 'Na2 Cr2 Cd2 O8'
_symmetry_space_group_name_H-M 'P 1 21/m 1'
_symmetry_Int_Tables_number 11
_symmetry_space_group_name_Hall '-P 2yb'
_cell_length_a 5.5950
_cell_length_b 6.0278
_cell_length_c 6.2748
_cell_angle_alpha 90.00
_cell_angle_beta 107.33
_cell_angle_gamma 90.00
loop_
_atom_site_label
_atom_site_type_symbol
_atom_site_fract_x
_atom_site_fract_y
_atom_site_fract_z
Na1 Na 0.0995 0.2500 0.4972
Cr1 Cr 0.3227 0.7500 0.3215
Cd1 Cd 0.2164 0.2500 0.0432
O1 O 0.0969 0.5322 0.2377
O2 O 0.4268 0.7500 0.6001
O3 O 0.4630 0.2500 0.8216
```